Entry 1:
Diffraction record for Sn4GeAu5. The powder XRD pattern is simulated, not measured: it uses a GGA-PBE-relaxed structure and Cu Kα, 1.54184 Å.
Lines closer than 0.1° are merged.

Cell and atoms:
a b c (Å): 5.7471 7.0572 7.1112
angles (deg): 60.52 79.43 67.08
Positions (direct):
Sn 0.0000 0.0000 0.0000
Sn 0.0262 0.5257 0.6528
Sn 0.1862 0.4938 0.1373
Sn 0.4037 0.8979 0.3287
Ge 0.5509 0.9489 0.7601
Au 0.1017 0.1608 0.5527
Au 0.4833 0.2471 0.9099
Au 0.5585 0.4317 0.4503
Au 0.7128 0.4970 0.0237
Au 0.8185 0.0056 0.3998

Peak list (8 most intense, 2θ from 10° to 90°, by angle)
2θ 15.4, rel. 41.1
2θ 26.0, rel. 26.5
2θ 28.8, rel. 27.8
2θ 31.1, rel. 35.8
2θ 32.1, rel. 100.0
2θ 33.4, rel. 39.2
2θ 38.9, rel. 71.9
2θ 40.2, rel. 61.0

***

Entry 2:
Diffraction record for Sn2Ge2Au7. The powder XRD pattern is simulated, not measured: it uses a GGA-PBE-relaxed structure and Cu Kα, 1.54184 Å.
Lines closer than 0.1° are merged.

Cell and atoms:
a b c (Å): 5.8738 5.8738 7.3224
angles (deg): 104.91 104.91 78.83
Positions (direct):
Sn 0.2134 0.2134 0.0667
Sn 0.7866 0.7866 0.9333
Ge 0.3210 0.6790 0.5000
Ge 0.6790 0.3210 0.5000
Au 0.0115 0.0115 0.3026
Au 0.0901 0.4764 0.7009
Au 0.4764 0.0901 0.7009
Au 0.5000 0.5000 0.0000
Au 0.5236 0.9099 0.2991
Au 0.9099 0.5236 0.2991
Au 0.9885 0.9885 0.6974

Peak list (8 most intense, 2θ from 10° to 90°, by angle)
2θ 27.2, rel. 65.1
2θ 31.8, rel. 71.8
2θ 33.3, rel. 61.1
2θ 35.6, rel. 100.0
2θ 41.1, rel. 81.4
2θ 42.2, rel. 48.8
2θ 45.1, rel. 59.8
2θ 47.4, rel. 52.8

***

Entry 3:
Diffraction record for Sn2GeAu2. The powder XRD pattern is simulated, not measured: it uses a GGA-PBE-relaxed structure and Cu Kα, 1.54184 Å.
Lines closer than 0.1° are merged.

Cell and atoms:
a b c (Å): 6.8903 6.8903 8.7838
angles (deg): 90.00 90.00 142.74
Positions (direct):
Sn 0.0721 0.9279 0.5000
Sn 0.3748 0.6252 0.2832
Sn 0.6252 0.3748 0.7832
Sn 0.9279 0.0721 0.0000
Ge 0.1389 0.8611 0.2010
Ge 0.8611 0.1389 0.7010
Au 0.2448 0.7552 0.6904
Au 0.4543 0.5457 0.5803
Au 0.5457 0.4543 0.0803
Au 0.7552 0.2448 0.1904

Peak list (8 most intense, 2θ from 10° to 90°, by angle)
2θ 20.2, rel. 42.8
2θ 23.6, rel. 43.9
2θ 24.4, rel. 58.0
2θ 30.6, rel. 56.9
2θ 41.0, rel. 40.1
2θ 41.5, rel. 100.0
2θ 42.5, rel. 51.1
2θ 46.7, rel. 21.7

***

Entry 4:
Diffraction record for SnGe2Au4. The powder XRD pattern is simulated, not measured: it uses a GGA-PBE-relaxed structure and Cu Kα, 1.54184 Å.
Lines closer than 0.1° are merged.

Cell and atoms:
a b c (Å): 3.8778 7.2181 11.2315
angles (deg): 101.49 96.33 104.79
Positions (direct):
Sn 0.1807 0.1300 0.3157
Sn 0.8193 0.8700 0.6843
Ge 0.0219 0.4057 0.6400
Ge 0.3530 0.2922 0.8494
Ge 0.6470 0.7078 0.1506
Ge 0.9781 0.5943 0.3600
Au 0.0000 0.5000 0.0000
Au 0.2273 0.9187 0.0693
Au 0.2976 0.7001 0.8243
Au 0.4096 0.1218 0.6064
Au 0.5000 0.5000 0.5000
Au 0.5904 0.8782 0.3936
Au 0.7024 0.2999 0.1757
Au 0.7727 0.0813 0.9307

Peak list (8 most intense, 2θ from 10° to 90°, by angle)
2θ 25.6, rel. 50.9
2θ 30.7, rel. 56.5
2θ 33.5, rel. 100.0
2θ 34.4, rel. 42.6
2θ 37.7, rel. 64.9
2θ 39.6, rel. 82.8
2θ 41.8, rel. 41.5
2θ 42.4, rel. 56.1

***

Entry 5:
Diffraction record for SrGe3Au6. The powder XRD pattern is simulated, not measured: it uses a GGA-PBE-relaxed structure and Cu Kα, 1.54184 Å.
Lines closer than 0.1° are merged.

Cell and atoms:
a b c (Å): 6.7353 6.7388 6.7660
angles (deg): 61.71 61.03 61.20
Positions (direct):
Sr 0.0000 0.0000 0.0000
Ge 0.1895 0.1925 0.1910
Ge 0.4556 0.4553 0.4571
Ge 0.7007 0.7061 0.7054
Au 0.0359 0.4090 0.5025
Au 0.0838 0.5767 0.8203
Au 0.4090 0.4977 0.0364
Au 0.4981 0.0364 0.4121
Au 0.5754 0.8147 0.0917
Au 0.8148 0.0862 0.5825

Peak list (8 most intense, 2θ from 10° to 90°, by angle)
2θ 18.4, rel. 56.5
2θ 25.7, rel. 42.1
2θ 26.0, rel. 84.4
2θ 31.9, rel. 45.3
2θ 32.8, rel. 100.0
2θ 41.8, rel. 34.7
2θ 42.4, rel. 36.3
2θ 46.2, rel. 52.8

***

Entry 6:
Diffraction record for SrGe2Au6. The powder XRD pattern is simulated, not measured: it uses a GGA-PBE-relaxed structure and Cu Kα, 1.54184 Å.
Lines closer than 0.1° are merged.

Cell and atoms:
a b c (Å): 6.1363 6.1363 5.4964
angles (deg): 92.91 92.91 70.07
Positions (direct):
Sr 0.0000 0.0000 0.0000
Ge 0.3889 0.3889 0.0989
Ge 0.6111 0.6111 0.9011
Au 0.0454 0.4656 0.7460
Au 0.2813 0.7187 0.5000
Au 0.4656 0.0454 0.7460
Au 0.5344 0.9546 0.2540
Au 0.7187 0.2813 0.5000
Au 0.9546 0.5344 0.2540

Peak list (8 most intense, 2θ from 10° to 90°, by angle)
2θ 25.3, rel. 95.8
2θ 30.1, rel. 65.8
2θ 35.8, rel. 75.4
2θ 36.3, rel. 74.0
2θ 38.4, rel. 100.0
2θ 43.1, rel. 48.5
2θ 44.3, rel. 80.8
2θ 44.8, rel. 77.4

***

Entry 7:
Diffraction record for SrGeAu. The powder XRD pattern is simulated, not measured: it uses a GGA-PBE-relaxed structure and Cu Kα, 1.54184 Å.
Lines closer than 0.1° are merged.

Cell and atoms:
a b c (Å): 4.3782 4.5135 7.8749
angles (deg): 90.00 90.00 90.00
Positions (direct):
Sr 0.0000 0.0000 0.0000
Sr 0.0000 0.5000 0.5000
Ge 0.5000 0.0000 0.3432
Ge 0.5000 0.0000 0.6568
Au 0.5000 0.5000 0.1780
Au 0.5000 0.5000 0.8220

Peak list (8 most intense, 2θ from 10° to 90°, by angle)
2θ 20.3, rel. 30.2
2θ 30.6, rel. 100.0
2θ 39.7, rel. 41.5
2θ 39.9, rel. 21.1
2θ 41.2, rel. 19.3
2θ 45.0, rel. 15.0
2θ 51.1, rel. 18.2
2θ 58.6, rel. 27.5

***

Entry 8:
Diffraction record for SrGeAu3. The powder XRD pattern is simulated, not measured: it uses a GGA-PBE-relaxed structure and Cu Kα, 1.54184 Å.
Lines closer than 0.1° are merged.

Cell and atoms:
a b c (Å): 6.4864 6.4864 5.4791
angles (deg): 90.00 90.00 90.00
Positions (direct):
Sr 0.2500 0.7500 0.0000
Sr 0.7500 0.2500 0.0000
Ge 0.2500 0.2500 0.2800
Ge 0.7500 0.7500 0.7200
Au 0.0000 0.0000 0.5000
Au 0.0000 0.5000 0.5000
Au 0.2500 0.2500 0.8254
Au 0.5000 0.0000 0.5000
Au 0.5000 0.5000 0.5000
Au 0.7500 0.7500 0.1746

Peak list (8 most intense, 2θ from 10° to 90°, by angle)
2θ 16.2, rel. 21.0
2θ 19.4, rel. 18.4
2θ 32.1, rel. 100.0
2θ 38.3, rel. 14.9
2θ 39.3, rel. 53.1
2θ 43.2, rel. 34.7
2θ 56.8, rel. 18.3
2θ 66.7, rel. 24.9

***

Entry 9:
Diffraction record for SrGeAu2. The powder XRD pattern is simulated, not measured: it uses a GGA-PBE-relaxed structure and Cu Kα, 1.54184 Å.
Lines closer than 0.1° are merged.

Cell and atoms:
a b c (Å): 4.5917 4.5917 20.5205
angles (deg): 90.00 90.00 90.00
Positions (direct):
Sr 0.0158 0.9737 0.0000
Sr 0.0263 0.0158 0.2500
Sr 0.9737 0.9842 0.7500
Sr 0.9842 0.0263 0.5000
Ge 0.4342 0.4758 0.8241
Ge 0.4758 0.5658 0.5741
Ge 0.5242 0.4342 0.0741
Ge 0.5658 0.5242 0.3241
Au 0.0237 0.4966 0.1231
Au 0.4755 0.4786 0.7031
Au 0.4786 0.5245 0.4531
Au 0.4966 0.9763 0.8731
Au 0.5034 0.0237 0.3731
Au 0.5214 0.4755 0.9531
Au 0.5245 0.5214 0.2031
Au 0.9763 0.5034 0.6231

Peak list (8 most intense, 2θ from 10° to 90°, by angle)
2θ 19.3, rel. 34.7
2θ 21.2, rel. 64.9
2θ 32.6, rel. 100.0
2θ 39.2, rel. 51.1
2θ 40.3, rel. 38.2
2θ 45.0, rel. 48.5
2θ 57.5, rel. 29.4
2θ 67.0, rel. 24.6

***

Entry 10:
Diffraction record for SrGeAu3. The powder XRD pattern is simulated, not measured: it uses a GGA-PBE-relaxed structure and Cu Kα, 1.54184 Å.
Lines closer than 0.1° are merged.

Cell and atoms:
a b c (Å): 7.0459 7.0889 5.0875
angles (deg): 90.00 90.00 90.00
Positions (direct):
Sr 0.0000 0.0000 0.0000
Sr 0.5000 0.5000 0.0000
Ge 0.0000 0.5000 0.5000
Ge 0.5000 0.0000 0.5000
Au 0.0000 0.5000 0.0000
Au 0.2152 0.2156 0.5000
Au 0.2848 0.7156 0.5000
Au 0.5000 0.0000 0.0000
Au 0.7152 0.2844 0.5000
Au 0.7848 0.7844 0.5000

Peak list (8 most intense, 2θ from 10° to 90°, by angle)
2θ 17.7, rel. 31.4
2θ 30.7, rel. 100.0
2θ 30.9, rel. 98.7
2θ 33.4, rel. 26.4
2θ 35.3, rel. 61.7
2θ 35.9, rel. 96.6
2θ 51.3, rel. 70.7
2θ 60.6, rel. 29.9

***

Entry 11:
Diffraction record for SrTl2Ge2Au7. The powder XRD pattern is simulated, not measured: it uses a GGA-PBE-relaxed structure and Cu Kα, 1.54184 Å.
Lines closer than 0.1° are merged.

Cell and atoms:
a b c (Å): 5.0404 5.0404 11.8521
angles (deg): 97.74 97.74 87.74
Positions (direct):
Sr 0.0000 0.0000 0.0000
Tl 0.1351 0.1351 0.3820
Tl 0.8649 0.8649 0.6180
Ge 0.3033 0.3033 0.7820
Ge 0.6967 0.6967 0.2180
Au 0.1591 0.5624 0.1802
Au 0.4301 0.4301 0.5972
Au 0.4376 0.8409 0.8198
Au 0.5000 0.5000 0.0000
Au 0.5624 0.1591 0.1802
Au 0.5699 0.5699 0.4028
Au 0.8409 0.4376 0.8198

Peak list (8 most intense, 2θ from 10° to 90°, by angle)
2θ 17.8, rel. 39.6
2θ 29.8, rel. 38.5
2θ 30.7, rel. 58.8
2θ 31.8, rel. 100.0
2θ 34.5, rel. 67.6
2θ 35.8, rel. 70.2
2θ 37.8, rel. 36.5
2θ 38.7, rel. 57.9